# 1
Calculated XRD peak list of Na6CdPb for λ = 1.5418 Å (Cu Kα), from a crystal structure in Alexandria, relaxed with GGA-PBE.

Most intense lines, 2θ = 15–90°, by intensity:
hkl  d (Å)  2θ (°)  I_rel
1 2 1  2.654  33.8  100
1 1 0  4.411  20.1  75
0 1 1  4.546  19.5  69
1 0 1  4.169  21.3  51
1 0 2  2.679  33.5  43
2 0 0  2.874  31.1  39
2 1 1  2.429  37.0  28
0 2 3  1.741  52.6  23
0 2 1  2.991  29.9  21
3 2 1  1.613  57.1  21

Structural model:
```
data_Na6CdPb
_symmetry_space_group_name_H-M 'P m m 2'
_symmetry_Int_Tables_number 25
_symmetry_space_group_name_Hall 'P 2 -2'
_cell_length_a 5.748
_cell_length_b 6.881
_cell_length_c 6.055
_cell_angle_alpha 90.00
_cell_angle_beta 90.00
_cell_angle_gamma 90.00
loop_
_atom_site_label
_atom_site_type_symbol
_atom_site_fract_x
_atom_site_fract_y
_atom_site_fract_z
Na1 Na 0.000 0.000 0.000
Na2 Na 0.000 0.249 0.459
Na3 Na 0.500 0.243 0.804
Na4 Na 0.500 0.500 0.277
Cd1 Cd 0.000 0.500 0.953
Pb1 Pb 0.500 0.000 0.310
```

=====

# 2
Calculated XRD peak list of Na3Cd2Pb3 for λ = 1.5418 Å (Cu Kα), from a crystal structure in Alexandria, relaxed with GGA-PBE.

Most intense lines, 2θ = 15–90°, by intensity:
hkl  d (Å)  2θ (°)  I_rel
1 1 3  2.749  32.6  100
1 0 0  4.708  18.8  38
0 1 2  3.820  23.3  35
0 2 1  2.482  36.2  20
2 0 1  2.439  36.8  19
1 3 4  1.479  62.8  15
2 1 3  2.056  44.0  14
2 2 2  1.740  52.6  13
2 -2 4  1.374  68.3  13
1 0 4  2.269  39.7  13

Structural model:
```
data_Na3Cd2Pb3
_symmetry_space_group_name_H-M 'P -1'
_symmetry_Int_Tables_number 2
_symmetry_space_group_name_Hall '-P 1'
_cell_length_a 4.879
_cell_length_b 4.964
_cell_length_c 9.615
_cell_angle_alpha 75.10
_cell_angle_beta 75.42
_cell_angle_gamma 89.96
loop_
_atom_site_label
_atom_site_type_symbol
_atom_site_fract_x
_atom_site_fract_y
_atom_site_fract_z
Na1 Na 0.000 0.000 0.000
Na2 Na 0.130 0.630 0.740
Cd1 Cd 0.249 0.248 0.504
Pb1 Pb 0.363 0.863 0.274
Pb2 Pb 0.500 0.500 0.000
```

=====

# 3
Calculated XRD peak list of Na5CdPb2 for λ = 1.5418 Å (Cu Kα), from a crystal structure in Alexandria, relaxed with GGA-PBE.

Most intense lines, 2θ = 15–90°, by intensity:
hkl  d (Å)  2θ (°)  I_rel
0 4 1  2.806  31.9  100
1 2 0  4.750  18.7  93
1 2 1  3.488  25.5  93
2 0 1  2.817  31.8  59
0 0 2  2.569  34.9  43
0 0 1  5.138  17.3  40
2 1 1  2.757  32.5  34
2 4 0  2.375  37.9  34
1 2 2  2.260  39.9  29
3 1 1  2.034  44.5  28

Structural model:
```
data_Na5CdPb2
_symmetry_space_group_name_H-M 'P b a m'
_symmetry_Int_Tables_number 55
_symmetry_space_group_name_Hall '-P 2 2ab'
_cell_length_a 6.737
_cell_length_b 13.398
_cell_length_c 5.138
_cell_angle_alpha 90.00
_cell_angle_beta 90.00
_cell_angle_gamma 90.00
loop_
_atom_site_label
_atom_site_type_symbol
_atom_site_fract_x
_atom_site_fract_y
_atom_site_fract_z
Na1 Na 0.000 0.000 0.000
Na2 Na 0.070 0.258 0.000
Na3 Na 0.192 0.871 0.500
Cd1 Cd 0.000 0.500 0.000
Pb1 Pb 0.181 0.610 0.500
```

=====

# 4
Calculated XRD peak list of Na2Cd9Pb for λ = 1.5418 Å (Cu Kα), from a crystal structure in Alexandria, relaxed with GGA-PBE.

Most intense lines, 2θ = 15–90°, by intensity:
hkl  d (Å)  2θ (°)  I_rel
1 1 4  2.552  35.2  100
2 0 1  2.583  34.7  39
0 0 8  2.408  37.3  32
2 2 8  1.276  74.3  26
3 0 4  1.635  56.3  25
2 2 0  1.505  61.6  24
1 0 3  4.047  22.0  21
2 0 3  2.415  37.2  21
2 0 4  2.292  39.3  18
1 1 2  2.873  31.1  17

Structural model:
```
data_Na2Cd9Pb
_symmetry_space_group_name_H-M 'P 63/m m c'
_symmetry_Int_Tables_number 194
_symmetry_space_group_name_Hall '-P 6c 2c'
_cell_length_a 6.0196
_cell_length_b 6.0196
_cell_length_c 19.2620
_cell_angle_alpha 90.00
_cell_angle_beta 90.00
_cell_angle_gamma 120.00
loop_
_atom_site_label
_atom_site_type_symbol
_atom_site_fract_x
_atom_site_fract_y
_atom_site_fract_z
Na1 Na 0.3333 0.6667 0.0359
Cd1 Cd 0.0000 0.0000 0.0000
Cd2 Cd 0.0000 0.0000 0.2500
Cd3 Cd 0.1695 0.3390 0.6214
Cd4 Cd 0.3333 0.6667 0.7500
Pb1 Pb 0.3333 0.6667 0.2500
```

=====

# 5
Calculated XRD peak list of Na3Cd7Pb for λ = 1.5418 Å (Cu Kα), from a crystal structure in Alexandria, relaxed with GGA-PBE.

Most intense lines, 2θ = 15–90°, by intensity:
hkl  d (Å)  2θ (°)  I_rel
0 8 3  2.606  34.4  100
1 1 2  2.965  30.1  49
1 1 3  2.719  32.9  48
0 0 6  2.531  35.5  46
2 8 3  1.380  67.9  26
0 6 3  3.164  28.2  19
1 7 1  2.346  38.4  19
1 1 0  3.224  27.7  18
1 5 1  2.662  33.7  16
1 5 2  2.547  35.2  15

Structural model:
```
data_Na3Cd7Pb
_symmetry_space_group_name_H-M 'C m c m'
_symmetry_Int_Tables_number 63
_symmetry_space_group_name_Hall '-C 2c 2'
_cell_length_a 3.253
_cell_length_b 24.320
_cell_length_c 15.186
_cell_angle_alpha 90.00
_cell_angle_beta 90.00
_cell_angle_gamma 90.00
loop_
_atom_site_label
_atom_site_type_symbol
_atom_site_fract_x
_atom_site_fract_y
_atom_site_fract_z
Na1 Na 0.000 0.153 0.100
Na2 Na 0.000 0.181 0.750
Cd1 Cd 0.000 0.282 0.067
Cd2 Cd 0.000 0.402 0.084
Cd3 Cd 0.000 0.411 0.750
Cd4 Cd 0.000 0.469 0.582
Pb1 Pb 0.000 0.037 0.750
```

=====

# 6
Calculated XRD peak list of Na3Cd8Pb for λ = 1.5418 Å (Cu Kα), from a crystal structure in Alexandria, relaxed with GGA-PBE.

Most intense lines, 2θ = 15–90°, by intensity:
hkl  d (Å)  2θ (°)  I_rel
1 0 10  2.555  35.1  100
0 2 4  2.446  36.7  58
0 0 6  4.893  18.1  33
2 1 10  1.631  56.4  31
4 0 4  1.278  74.2  15
2 2 0  1.500  61.9  15
0 2 16  1.497  62.0  15
1 1 0  2.996  29.8  13
2 0 8  2.119  42.7  13
3 2 10  1.104  88.6  12

Structural model:
```
data_Na3Cd8Pb
_symmetry_space_group_name_H-M 'R 3 m'
_symmetry_Int_Tables_number 160
_symmetry_space_group_name_Hall 'R 3 -2"'
_cell_length_a 5.9983
_cell_length_b 5.9983
_cell_length_c 29.3003
_cell_angle_alpha 90.00
_cell_angle_beta 90.00
_cell_angle_gamma 120.00
loop_
_atom_site_label
_atom_site_type_symbol
_atom_site_fract_x
_atom_site_fract_y
_atom_site_fract_z
Na1 Na 0.0000 0.0000 0.0000
Na2 Na 0.0000 0.0000 0.1259
Na3 Na 0.0000 0.0000 0.6246
Cd1 Cd 0.0000 0.0000 0.3128
Cd2 Cd 0.0000 0.0000 0.8121
Cd3 Cd 0.0007 0.5004 0.5631
Cd4 Cd 0.1674 0.3348 0.3952
Pb1 Pb 0.0000 0.0000 0.5003
```

=====

# 7
Calculated XRD peak list of NaCdPb6 for λ = 1.5418 Å (Cu Kα), from a crystal structure in Alexandria, relaxed with GGA-PBE.

Most intense lines, 2θ = 15–90°, by intensity:
hkl  d (Å)  2θ (°)  I_rel
1 1 2  2.842  31.5  100
2 0 0  2.489  36.1  35
3 1 2  1.496  62.0  30
2 0 4  1.731  52.9  24
0 0 4  2.408  37.3  16
1 1 6  1.461  63.7  14
2 2 0  1.760  52.0  13
2 2 4  1.421  65.7  12
3 1 6  1.124  86.6  12
1 0 0  4.978  17.8  7

Structural model:
```
data_NaCdPb6
_symmetry_space_group_name_H-M 'P 4/m m m'
_symmetry_Int_Tables_number 123
_symmetry_space_group_name_Hall '-P 4 2'
_cell_length_a 4.978
_cell_length_b 4.978
_cell_length_c 9.632
_cell_angle_alpha 90.00
_cell_angle_beta 90.00
_cell_angle_gamma 90.00
loop_
_atom_site_label
_atom_site_type_symbol
_atom_site_fract_x
_atom_site_fract_y
_atom_site_fract_z
Na1 Na 0.000 0.000 0.000
Cd1 Cd 0.000 0.000 0.500
Pb1 Pb 0.000 0.500 0.254
Pb2 Pb 0.500 0.500 0.000
Pb3 Pb 0.500 0.500 0.500
```

=====

# 8
Calculated XRD peak list of Na3Cd8Pb for λ = 1.5418 Å (Cu Kα), from a crystal structure in Alexandria, relaxed with GGA-PBE.

Most intense lines, 2θ = 15–90°, by intensity:
hkl  d (Å)  2θ (°)  I_rel
2 0 1  2.516  35.7  100
1 1 2  2.554  35.1  91
0 1 3  2.739  32.7  51
0 2 2  2.294  39.3  38
1 0 1  4.587  19.3  38
1 0 0  5.213  17.0  36
0 2 5  1.552  59.6  29
2 2 0  1.505  61.6  27
0 0 4  2.414  37.2  25
0 3 2  1.635  56.3  23

Structural model:
```
data_Na3Cd8Pb
_symmetry_space_group_name_H-M 'P 3 m 1'
_symmetry_Int_Tables_number 156
_symmetry_space_group_name_Hall 'P 3 -2"'
_cell_length_a 6.0194
_cell_length_b 6.0194
_cell_length_c 9.6579
_cell_angle_alpha 90.00
_cell_angle_beta 90.00
_cell_angle_gamma 120.00
loop_
_atom_site_label
_atom_site_type_symbol
_atom_site_fract_x
_atom_site_fract_y
_atom_site_fract_z
Na1 Na 0.0000 0.0000 0.0000
Na2 Na 0.0000 0.0000 0.3780
Na3 Na 0.3333 0.6667 0.8737
Cd1 Cd 0.0084 0.5042 0.1854
Cd2 Cd 0.3243 0.1621 0.6893
Cd3 Cd 0.6667 0.3333 0.4361
Cd4 Cd 0.6667 0.3333 0.9367
Pb1 Pb 0.3333 0.6667 0.5028
```